No. 1
Computed X-ray diffraction stick pattern of VRuSeBr2 for Cu Kα X-rays, from a cell relaxed with GGA-PBE.
Neutral-atom scattering factors, no anomalous dispersion.

Crystal structure
Cell lengths 5.1816, 5.1816, 4.6828 Å; angles 90.00, 90.00, 90.00 degrees
Fractional positions:
1 V 0.0000 0.0000 0.0000
2 Ru 0.5000 0.5000 0.5000
3 Se 0.5000 0.5000 0.0000
4 Br 0.0000 0.5000 0.5000
5 Br 0.5000 0.0000 0.5000

Most intense lines, 10 to 80 degrees two-theta, low angle first:
| d_spacing | Position (°2θ) | I/Imax |
| --- | --- | --- |
| 5.182 | 17.11 | 64.3 |
| 4.683 | 18.95 | 27.4 |
| 2.886 | 30.99 | 62.7 |
| 2.591 | 34.62 | 100.0 |
| 2.341 | 38.45 | 37.2 |
| 2.267 | 39.76 | 16.2 |
| 1.832 | 49.77 | 34.6 |
| 1.737 | 52.69 | 58.0 |
| 1.547 | 59.80 | 17.8 |
| 1.443 | 64.60 | 30.9 |


No. 2
Computed X-ray diffraction stick pattern of SrSm2Pd9 for Cu Kα X-rays, from a cell relaxed with GGA-PBE.
Neutral-atom scattering factors, no anomalous dispersion.

Crystal structure
Cell lengths 9.5318, 9.5318, 9.5318 Å; angles 33.28, 33.28, 33.28 degrees
Fractional positions:
1 Sr 0.0000 0.0000 0.0000
2 Sm 0.1387 0.1387 0.1387
3 Sm 0.8613 0.8613 0.8613
4 Pd 0.0821 0.5875 0.5875
5 Pd 0.3332 0.3332 0.3332
6 Pd 0.4125 0.4125 0.9179
7 Pd 0.4125 0.9179 0.4125
8 Pd 0.5000 0.5000 0.5000
9 Pd 0.5875 0.0821 0.5875
10 Pd 0.5875 0.5875 0.0821
11 Pd 0.6668 0.6668 0.6668
12 Pd 0.9179 0.4125 0.4125

Most intense lines, 10 to 80 degrees two-theta, low angle first:
| d_spacing | Position (°2θ) | I/Imax |
| --- | --- | --- |
| 2.746 | 32.61 | 20.4 |
| 2.729 | 32.81 | 29.0 |
| 2.355 | 38.22 | 30.1 |
| 2.333 | 38.59 | 100.0 |
| 2.249 | 40.09 | 18.2 |
| 2.231 | 40.44 | 20.1 |
| 2.178 | 41.47 | 24.1 |
| 2.165 | 41.72 | 40.5 |
| 1.487 | 62.45 | 21.7 |
| 1.365 | 68.79 | 24.9 |


No. 3
Computed X-ray diffraction stick pattern of Y2Tm8Sc3 for Cu Kα X-rays, from a cell relaxed with GGA-PBE.
Neutral-atom scattering factors, no anomalous dispersion.

Crystal structure
Cell lengths 5.5500, 6.1636, 11.5688 Å; angles 78.58, 79.58, 88.69 degrees
Fractional positions:
1 Y 0.2467 0.1650 0.0071
2 Y 0.7533 0.8350 0.9929
3 Tm 0.1159 0.0539 0.3384
4 Tm 0.1866 0.6031 0.1718
5 Tm 0.3056 0.7158 0.8466
6 Tm 0.3614 0.2604 0.6982
7 Tm 0.6386 0.7396 0.3018
8 Tm 0.6944 0.2842 0.1534
9 Tm 0.8134 0.3969 0.8282
10 Tm 0.8841 0.9461 0.6616
11 Sc 0.0000 0.5000 0.5000
12 Sc 0.4357 0.7617 0.5602
13 Sc 0.5643 0.2383 0.4398

Most intense lines, 10 to 80 degrees two-theta, low angle first:
| d_spacing | Position (°2θ) | I/Imax |
| --- | --- | --- |
| 5.577 | 15.89 | 26.3 |
| 2.919 | 30.63 | 67.2 |
| 2.768 | 32.34 | 66.3 |
| 2.747 | 32.60 | 100.0 |
| 2.719 | 32.94 | 58.4 |
| 2.658 | 33.72 | 46.3 |
| 2.642 | 33.94 | 58.7 |
| 2.081 | 43.49 | 22.5 |
| 1.811 | 50.40 | 20.4 |
| 1.466 | 63.47 | 17.6 |


No. 4
Computed X-ray diffraction stick pattern of CdIn2Ag for Cu Kα X-rays, from a cell relaxed with GGA-PBE.
Neutral-atom scattering factors, no anomalous dispersion.

Crystal structure
Cell lengths 4.4660, 4.4660, 9.1768 Å; angles 90.00, 90.00, 90.00 degrees
Fractional positions:
1 Cd 0.0000 0.0000 0.0000
2 Cd 0.5000 0.5000 0.5000
3 In 0.0000 0.0000 0.5000
4 In 0.0000 0.5000 0.7500
5 In 0.5000 0.0000 0.2500
6 In 0.5000 0.5000 0.0000
7 Ag 0.0000 0.5000 0.2500
8 Ag 0.5000 0.0000 0.7500

Most intense lines, 10 to 80 degrees two-theta, low angle first:
| d_spacing | Position (°2θ) | I/Imax |
| --- | --- | --- |
| 2.601 | 34.48 | 100.0 |
| 2.294 | 39.27 | 17.3 |
| 2.233 | 40.39 | 32.0 |
| 1.600 | 57.60 | 21.6 |
| 1.579 | 58.45 | 10.3 |
| 1.377 | 68.12 | 12.8 |
| 1.350 | 69.66 | 24.0 |
| 1.301 | 72.70 | 10.6 |


No. 5
Computed X-ray diffraction stick pattern of SrH2Cl4 for Cu Kα X-rays, from a cell relaxed with GGA-PBE.
Neutral-atom scattering factors, no anomalous dispersion.

Crystal structure
Cell lengths 8.4663, 7.5858, 9.6955 Å; angles 57.11, 48.80, 74.09 degrees
Fractional positions:
1 Sr 0.0000 0.0000 0.0000
2 Sr 0.2500 0.2500 0.2500
3 H 0.0382 0.5083 0.9363
4 H 0.3137 0.7328 0.2118
5 H 0.5083 0.0382 0.5172
6 H 0.7328 0.3137 0.7417
7 Cl 0.0144 0.5567 0.1285
8 Cl 0.0592 0.4803 0.7989
9 Cl 0.1215 0.9497 0.2356
10 Cl 0.4511 0.5885 0.1908
11 Cl 0.4803 0.0592 0.6615
12 Cl 0.5567 0.0144 0.3003
13 Cl 0.5885 0.4511 0.7697
14 Cl 0.9497 0.1215 0.6933

Most intense lines, 10 to 80 degrees two-theta, low angle first:
| d_spacing | Position (°2θ) | I/Imax |
| --- | --- | --- |
| 6.314 | 14.03 | 100.0 |
| 4.793 | 18.51 | 19.3 |
| 4.014 | 22.15 | 29.2 |
| 3.647 | 24.41 | 29.4 |
| 3.496 | 25.48 | 49.5 |
| 3.178 | 28.08 | 41.7 |
| 3.157 | 28.27 | 52.4 |
| 2.533 | 35.43 | 16.1 |
| 2.387 | 37.68 | 66.5 |
| 2.116 | 42.72 | 29.3 |


No. 6
Computed X-ray diffraction stick pattern of Ac8OsPt3 for Cu Kα X-rays, from a cell relaxed with GGA-PBE.
Neutral-atom scattering factors, no anomalous dispersion.

Crystal structure
Cell lengths 7.5882, 7.5882, 8.8014 Å; angles 90.00, 90.00, 111.35 degrees
Fractional positions:
1 Ac 0.2305 0.2446 0.2415
2 Ac 0.2357 0.7643 0.0000
3 Ac 0.2399 0.7601 0.5000
4 Ac 0.2446 0.2305 0.7585
5 Ac 0.7554 0.7695 0.7585
6 Ac 0.7601 0.2399 0.5000
7 Ac 0.7643 0.2357 0.0000
8 Ac 0.7695 0.7554 0.2415
9 Os 0.0000 0.0000 0.0000
10 Pt 0.0000 0.0000 0.5000
11 Pt 0.0000 0.5000 0.2535
12 Pt 0.5000 0.0000 0.7465

Most intense lines, 10 to 80 degrees two-theta, low angle first:
| d_spacing | Position (°2θ) | I/Imax |
| --- | --- | --- |
| 7.067 | 12.52 | 29.7 |
| 5.511 | 16.08 | 23.2 |
| 3.601 | 24.72 | 22.9 |
| 3.534 | 25.20 | 21.6 |
| 3.133 | 28.49 | 51.1 |
| 3.068 | 29.11 | 100.0 |
| 2.200 | 41.02 | 20.1 |
| 2.192 | 41.18 | 76.5 |
| 1.801 | 50.70 | 21.1 |
| 1.767 | 51.74 | 19.6 |


No. 7
Computed X-ray diffraction stick pattern of PmEr4Tl5 for Cu Kα X-rays, from a cell relaxed with GGA-PBE.
Neutral-atom scattering factors, no anomalous dispersion.

Crystal structure
Cell lengths 3.7499, 3.7499, 19.3705 Å; angles 90.00, 90.00, 90.00 degrees
Fractional positions:
1 Pm 0.0000 0.0000 0.0000
2 Er 0.0000 0.0000 0.2053
3 Er 0.0000 0.0000 0.4018
4 Er 0.0000 0.0000 0.5982
5 Er 0.0000 0.0000 0.7947
6 Tl 0.5000 0.5000 0.1072
7 Tl 0.5000 0.5000 0.3041
8 Tl 0.5000 0.5000 0.5000
9 Tl 0.5000 0.5000 0.6959
10 Tl 0.5000 0.5000 0.8928

Most intense lines, 10 to 80 degrees two-theta, low angle first:
| d_spacing | Position (°2θ) | I/Imax |
| --- | --- | --- |
| 2.694 | 33.25 | 100.0 |
| 2.652 | 33.80 | 48.9 |
| 2.447 | 36.73 | 1.3 |
| 1.937 | 46.90 | 9.1 |
| 1.875 | 48.56 | 17.9 |
| 1.564 | 59.06 | 18.5 |
| 1.539 | 60.12 | 37.3 |
| 1.347 | 69.81 | 11.2 |
| 1.326 | 71.11 | 5.8 |
| 1.221 | 78.30 | 7.4 |